(1)
# Tb2Al
Simulated PXRD pattern, Cu Kα X-rays. Input: a GGA-PBE-relaxed structure.
Peak positions follow from Bragg's law for the DFT cell and can differ from measured ones.

Largest 8 diffraction maxima, in order of rising 2θ, 2θ = 5–70°:
2θ = 23.03°, I 22, (1 0 2)
2θ = 23.95°, I 38, (1 1 1)
2θ = 28.98°, I 35, (1 1 2)
2θ = 32.39°, I 31, (2 1 0)
2θ = 33.15°, I 100, (0 1 3)
2θ = 33.76°, I 64, (2 1 1)
2θ = 35.12°, I 41, (0 2 0)
2θ = 60.11°, I 23, (3 1 4)

Structure:
Unit cell a=6.5720 b=5.1103 c=9.5454 alpha=90.00 beta=90.00 gamma=90.00
Space group Pnma (No. 62)
One atom of each set of equivalent atoms:
Tb (0.0297, 0.2500, 0.2073) x4
Tb (0.1843, 0.2500, 0.5731) x4
Al (0.2055, 0.2500, 0.8962) x4

=====

(2)
# TbAlTlTe3
Simulated PXRD pattern, Cu Kα X-rays. Input: a GGA-PBE-relaxed structure.
Peak positions follow from Bragg's law for the DFT cell and can differ from measured ones.

Largest 8 diffraction maxima, in order of rising 2θ, 2θ = 5–70°:
2θ = 23.23°, I 56, (3 0 1)
2θ = 27.11°, I 61, (2 1 2)
2θ = 28.55°, I 100, (1 1 3)
2θ = 29.44°, I 42, (3 1 1)
2θ = 31.89°, I 38, (3 1 2)
2θ = 34.16°, I 52, (1 1 4)
2θ = 36.09°, I 64, (0 2 0)
2θ = 69.19°, I 26, (4 1 8)

Structure:
Unit cell a=12.0310 b=4.9780 c=12.7858 alpha=90.00 beta=90.00 gamma=90.00
Space group Pnma (No. 62)
One atom of each set of equivalent atoms:
Tb (0.0270, 0.2500, 0.1820) x4
Al (0.2386, 0.2500, 0.7758) x4
Tl (0.1855, 0.2500, 0.4961) x4
Te (0.0518, 0.7500, 0.3443) x4
Te (0.0882, 0.2500, 0.9334) x4
Te (0.2095, 0.7500, 0.6908) x4